Starting from DFT lattice parameters and positions (GGA-PBE), the powder diffraction line list of SrPr2SnO6 was computed for copper Kα.
No peak broadening, texture or thermal motion is included.

Principal peaks in the range 2θ = 15–90°, sorted by position:
20.58°, I 20
28.77°, I 100
29.77°, I 95
41.87°, I 43
46.42°, I 27
50.33°, I 14
52.21°, I 43
52.83°, I 29
61.82°, I 13
69.59°, I 16

Structural model:
```
data_SrPr2SnO6
_symmetry_space_group_name_H-M 'P 1'
_symmetry_Int_Tables_number 1
_cell_length_a 6.2141
_cell_length_b 6.2141
_cell_length_c 6.2141
_cell_angle_alpha 57.76
_cell_angle_beta 57.76
_cell_angle_gamma 57.76
loop_
_symmetry_equiv_pos_as_xyz
'x,y,z'
loop_
_atom_site_label
_atom_site_type_symbol
_atom_site_fract_x
_atom_site_fract_y
_atom_site_fract_z
_atom_site_occupancy
Sr1 Sr 0.0000 0.0000 0.0000 1
Pr1 Pr 0.2716 0.2716 0.2716 1
Pr2 Pr 0.7753 0.7753 0.7753 1
Sn1 Sn 0.4868 0.4868 0.4868 1
O1 O 0.1258 0.6643 0.3958 1
O2 O 0.2251 0.5924 0.8396 1
O3 O 0.3958 0.1258 0.6643 1
O4 O 0.5924 0.8396 0.2251 1
O5 O 0.6643 0.3958 0.1258 1
O6 O 0.8396 0.2251 0.5924 1
```

---

Starting from DFT lattice parameters and positions (GGA-PBE), the powder diffraction line list of Pm6SmCd5 was computed for copper Kα.
No peak broadening, texture or thermal motion is included.

Principal peaks in the range 2θ = 15–90°, sorted by position:
32.62°, I 100
32.80°, I 24
33.11°, I 25
46.30°, I 9
47.30°, I 17
58.10°, I 9
58.44°, I 17
58.84°, I 18
68.34°, I 11
78.52°, I 11

Structural model:
```
data_Pm6SmCd5
_symmetry_space_group_name_H-M 'P 1'
_symmetry_Int_Tables_number 1
_cell_length_a 9.4766
_cell_length_b 9.4766
_cell_length_c 9.4766
_cell_angle_alpha 146.83
_cell_angle_beta 131.11
_cell_angle_gamma 60.36
loop_
_symmetry_equiv_pos_as_xyz
'x,y,z'
loop_
_atom_site_label
_atom_site_type_symbol
_atom_site_fract_x
_atom_site_fract_y
_atom_site_fract_z
_atom_site_occupancy
Pm1 Pm 0.0714 0.3286 0.7428 1
Pm2 Pm 0.2301 0.0000 0.2301 1
Pm3 Pm 0.4142 0.6714 0.7428 1
Pm4 Pm 0.5858 0.3286 0.2572 1
Pm5 Pm 0.7699 0.0000 0.7699 1
Pm6 Pm 0.9286 0.6714 0.2572 1
Sm1 Sm 0.5000 0.5000 0.0000 1
Cd1 Cd 0.0000 0.5000 0.5000 1
Cd2 Cd 0.1692 0.1692 0.0000 1
Cd3 Cd 0.3447 0.8447 0.5000 1
Cd4 Cd 0.6553 0.1553 0.5000 1
Cd5 Cd 0.8308 0.8308 0.0000 1
```

---

Starting from DFT lattice parameters and positions (GGA-PBE), the powder diffraction line list of Sm3ErCo2 was computed for copper Kα.
No peak broadening, texture or thermal motion is included.

Principal peaks in the range 2θ = 15–90°, sorted by position:
29.53°, I 85
30.64°, I 56
30.90°, I 49
31.52°, I 33
32.32°, I 65
32.92°, I 100
40.51°, I 39
40.64°, I 35
41.62°, I 33
48.19°, I 35

Structural model:
```
data_Sm3ErCo2
_symmetry_space_group_name_H-M 'P 1'
_symmetry_Int_Tables_number 1
_cell_length_a 8.5702
_cell_length_b 8.5702
_cell_length_c 11.7337
_cell_angle_alpha 123.49
_cell_angle_beta 123.49
_cell_angle_gamma 25.46
loop_
_symmetry_equiv_pos_as_xyz
'x,y,z'
loop_
_atom_site_label
_atom_site_type_symbol
_atom_site_fract_x
_atom_site_fract_y
_atom_site_fract_z
_atom_site_occupancy
Sm1 Sm 0.0828 0.0828 0.4464 1
Sm2 Sm 0.0836 0.0836 0.9370 1
Sm3 Sm 0.3399 0.3399 0.7518 1
Sm4 Sm 0.6601 0.6601 0.2482 1
Sm5 Sm 0.9164 0.9164 0.0630 1
Sm6 Sm 0.9172 0.9172 0.5536 1
Er1 Er 0.3377 0.3377 0.2475 1
Er2 Er 0.6623 0.6623 0.7525 1
Co1 Co 0.2653 0.2653 0.4508 1
Co2 Co 0.2678 0.2678 0.9545 1
Co3 Co 0.7322 0.7322 0.0455 1
Co4 Co 0.7347 0.7347 0.5492 1
```

---

Starting from DFT lattice parameters and positions (GGA-PBE), the powder diffraction line list of KTm4 was computed for copper Kα.
No peak broadening, texture or thermal motion is included.

Principal peaks in the range 2θ = 15–90°, sorted by position:
16.32°, I 1
28.47°, I 100
32.99°, I 66
47.35°, I 48
56.18°, I 46
58.91°, I 17
69.20°, I 8
76.46°, I 19
78.82°, I 21
88.13°, I 17

Structural model:
```
data_KTm4
_symmetry_space_group_name_H-M 'P 1'
_symmetry_Int_Tables_number 1
_cell_length_a 5.4304
_cell_length_b 5.4304
_cell_length_c 5.4304
_cell_angle_alpha 90.00
_cell_angle_beta 90.00
_cell_angle_gamma 90.00
loop_
_symmetry_equiv_pos_as_xyz
'x,y,z'
loop_
_atom_site_label
_atom_site_type_symbol
_atom_site_fract_x
_atom_site_fract_y
_atom_site_fract_z
_atom_site_occupancy
K1 K 0.0000 0.0000 0.0000 1
Tm1 Tm 0.0000 0.0000 0.5000 1
Tm2 Tm 0.0000 0.5000 0.0000 1
Tm3 Tm 0.5000 0.0000 0.0000 1
Tm4 Tm 0.5000 0.5000 0.5000 1
```

---

Starting from DFT lattice parameters and positions (GGA-PBE), the powder diffraction line list of BaY2Cu was computed for copper Kα.
No peak broadening, texture or thermal motion is included.

Principal peaks in the range 2θ = 15–90°, sorted by position:
27.63°, I 24
29.95°, I 10
32.42°, I 100
32.72°, I 8
41.20°, I 10
44.95°, I 9
48.27°, I 8
56.50°, I 19
57.83°, I 17
59.34°, I 8

Structural model:
```
data_BaY2Cu
_symmetry_space_group_name_H-M 'P 1'
_symmetry_Int_Tables_number 1
_cell_length_a 3.7708
_cell_length_b 5.5251
_cell_length_c 11.9346
_cell_angle_alpha 90.00
_cell_angle_beta 90.00
_cell_angle_gamma 90.00
loop_
_symmetry_equiv_pos_as_xyz
'x,y,z'
loop_
_atom_site_label
_atom_site_type_symbol
_atom_site_fract_x
_atom_site_fract_y
_atom_site_fract_z
_atom_site_occupancy
Ba1 Ba 0.0000 0.0000 0.0000 1
Ba2 Ba 0.5000 0.5000 0.5000 1
Y1 Y 0.0000 0.0000 0.3958 1
Y2 Y 0.0000 0.5000 0.2028 1
Y3 Y 0.5000 0.0000 0.7028 1
Y4 Y 0.5000 0.5000 0.8958 1
Cu1 Cu 0.0000 0.5000 0.7232 1
Cu2 Cu 0.5000 0.0000 0.2232 1
```

---

Starting from DFT lattice parameters and positions (GGA-PBE), the powder diffraction line list of Cs3VBr6 was computed for copper Kα.
No peak broadening, texture or thermal motion is included.

Principal peaks in the range 2θ = 15–90°, sorted by position:
20.49°, I 23
23.18°, I 14
26.82°, I 19
28.43°, I 14
31.13°, I 100
31.29°, I 21
41.68°, I 18
47.38°, I 19
55.59°, I 18
57.88°, I 16

Structural model:
```
data_Cs3VBr6
_symmetry_space_group_name_H-M 'P 1'
_symmetry_Int_Tables_number 1
_cell_length_a 9.5706
_cell_length_b 9.5706
_cell_length_c 9.5706
_cell_angle_alpha 87.98
_cell_angle_beta 87.98
_cell_angle_gamma 87.98
loop_
_symmetry_equiv_pos_as_xyz
'x,y,z'
loop_
_atom_site_label
_atom_site_type_symbol
_atom_site_fract_x
_atom_site_fract_y
_atom_site_fract_z
_atom_site_occupancy
Cs1 Cs 0.1024 0.7500 0.3976 1
Cs2 Cs 0.2500 0.6024 0.8976 1
Cs3 Cs 0.3976 0.1024 0.7500 1
Cs4 Cs 0.6024 0.8976 0.2500 1
Cs5 Cs 0.7500 0.3976 0.1024 1
Cs6 Cs 0.8976 0.2500 0.6024 1
V1 V 0.0000 0.0000 0.0000 1
V2 V 0.5000 0.5000 0.5000 1
Br1 Br 0.0637 0.9255 0.7482 1
Br2 Br 0.0745 0.2518 0.9363 1
Br3 Br 0.2482 0.4255 0.5637 1
Br4 Br 0.2518 0.9363 0.0745 1
Br5 Br 0.4255 0.5637 0.2482 1
Br6 Br 0.4363 0.7518 0.5745 1
Br7 Br 0.5637 0.2482 0.4255 1
Br8 Br 0.5745 0.4363 0.7518 1
Br9 Br 0.7482 0.0637 0.9255 1
Br10 Br 0.7518 0.5745 0.4363 1
Br11 Br 0.9255 0.7482 0.0637 1
Br12 Br 0.9363 0.0745 0.2518 1
```